No. 1
For DyY2Tm4, a crystal structure in Alexandria, relaxed with PBE gives the calculated X-ray powder pattern in this record (λ = 1.5418 Å (Cu Kα)).
No peak broadening, texture or thermal motion is included.

Main lines, low angle first (10° ≤ 2θ ≤ 80°):
2θ 28.85, intensity 26
2θ 28.97, intensity 29
2θ 31.32, intensity 15
2θ 31.91, intensity 56
2θ 32.65, intensity 100
2θ 33.41, intensity 99
2θ 51.04, intensity 45
2θ 56.84, intensity 19
2θ 58.31, intensity 21
2θ 61.47, intensity 51
2θ 61.92, intensity 16
2θ 62.39, intensity 16

Crystal structure
Cell: 3.579 3.579 19.740 Å, 95.18 95.18 60.00°
Element x y z (fractional)
Dy1 0.000 0.000 0.000
Y1 0.095 0.095 0.287
Y2 0.190 0.190 0.574
Tm1 0.286 0.286 0.858
Tm2 0.381 0.381 0.142
Tm3 0.809 0.809 0.431
Tm4 0.905 0.905 0.718

=====

No. 2
For NaGa2Pb2, a crystal structure in Alexandria, relaxed with PBE gives the calculated X-ray powder pattern in this record (λ = 1.5418 Å (Cu Kα)).
No peak broadening, texture or thermal motion is included.

Main lines, low angle first (10° ≤ 2θ ≤ 80°):
2θ 22.62, intensity 100
2θ 27.17, intensity 66
2θ 31.30, intensity 25
2θ 33.10, intensity 22
2θ 34.63, intensity 61
2θ 38.04, intensity 100
2θ 44.86, intensity 38
2θ 50.81, intensity 24
2θ 53.24, intensity 21
2θ 57.88, intensity 29
2θ 63.79, intensity 25
2θ 78.15, intensity 26

Crystal structure
Cell: 8.907 8.907 8.907 Å, 153.77 153.77 37.43°
Element x y z (fractional)
Na1 0.000 0.000 0.000
Ga1 0.250 0.750 0.500
Ga2 0.750 0.250 0.500
Pb1 0.381 0.381 0.000
Pb2 0.619 0.619 0.000

=====

No. 3
For Mg2Si, a crystal structure in Alexandria, relaxed with PBE gives the calculated X-ray powder pattern in this record (λ = 1.5418 Å (Cu Kα)).
No peak broadening, texture or thermal motion is included.

Main lines, low angle first (10° ≤ 2θ ≤ 80°):
2θ 34.46, intensity 45
2θ 34.95, intensity 34
2θ 36.32, intensity 32
2θ 37.63, intensity 100
2θ 38.29, intensity 11
2θ 38.44, intensity 19
2θ 38.81, intensity 16
2θ 39.65, intensity 16
2θ 41.13, intensity 12
2θ 43.15, intensity 13
2θ 45.41, intensity 13
2θ 46.89, intensity 11

Crystal structure
Cell: 5.237 5.389 8.508 Å, 90.00 100.99 90.00°
Element x y z (fractional)
Mg1 0.014 0.000 0.097
Mg2 0.068 0.485 0.289
Mg3 0.342 0.990 0.487
Mg4 0.485 0.193 0.881
Mg5 0.515 0.693 0.119
Mg6 0.658 0.490 0.513
Mg7 0.932 0.985 0.711
Mg8 0.986 0.500 0.903
Si1 0.186 0.436 0.617
Si2 0.493 0.709 0.791
Si3 0.507 0.209 0.209
Si4 0.814 0.936 0.383

=====

No. 4
For Tb2Er2Tm2Th, a crystal structure in Alexandria, relaxed with PBE gives the calculated X-ray powder pattern in this record (λ = 1.5418 Å (Cu Kα)).
No peak broadening, texture or thermal motion is included.

Main lines, low angle first (10° ≤ 2θ ≤ 80°):
2θ 31.41, intensity 93
2θ 32.11, intensity 100
2θ 32.45, intensity 96
2θ 44.50, intensity 16
2θ 46.55, intensity 35
2θ 52.63, intensity 13
2θ 56.13, intensity 16
2θ 57.20, intensity 17
2θ 57.64, intensity 19
2θ 58.15, intensity 19
2θ 63.00, intensity 29
2θ 63.19, intensity 15

Crystal structure
Cell: 11.759 11.759 5.523 Å, 103.51 103.51 17.01°
Element x y z (fractional)
Tb1 0.142 0.142 0.142
Tb2 0.858 0.858 0.858
Er1 0.071 0.071 0.571
Er2 0.929 0.929 0.429
Tm1 0.292 0.292 0.293
Tm2 0.708 0.708 0.707
Th1 0.500 0.500 0.000